Entry 1:
For Ca2Ti2O5, a structure optimized by DFT (GGA-PBE) gives the calculated X-ray powder pattern in this record (copper Kα).
Lines closer than 0.1° are merged.

Structure:
a b c (Å): 8.4917 8.4917 8.4917
angles (deg): 55.70 140.71 142.15
Sites, in units of the cell vectors:
Ca1 0.0348 0.1068 0.1416
Ca2 0.0348 0.3932 0.4280
Ca3 0.9652 0.6068 0.5720
Ca4 0.9652 0.8932 0.8584
Ti1 0.3908 0.7236 0.1672
Ti2 0.5128 0.0128 0.5000
Ti3 0.5128 0.5128 0.0000
Ti4 0.5564 0.2236 0.8328
O1 0.0130 0.2724 0.7646
O2 0.0135 0.3611 0.1523
O3 0.0130 0.7485 0.2406
O4 0.2088 0.8611 0.8477
O5 0.4749 0.1736 0.5789
O6 0.4749 0.3961 0.8013
O7 0.5078 0.2485 0.2354
O8 0.5078 0.7724 0.7594
O9 0.5947 0.6736 0.1987
O10 0.5947 0.8961 0.4211

Main lines, in order of rising 2θ (15° ≤ 2θ ≤ 90°):
2theta  I/Imax
23.65  24
31.33  39
32.51  53
32.86  100
42.73  22
45.78  47
48.50  22
58.22  23



Entry 2:
For ErCo3Sn6, a structure optimized by DFT (GGA-PBE) gives the calculated X-ray powder pattern in this record (copper Kα).
Lines closer than 0.1° are merged.

Structure:
a b c (Å): 6.4903 6.4903 6.5708
angles (deg): 119.48 119.48 83.55
Sites, in units of the cell vectors:
Er1 0.0000 0.0000 0.0000
Co1 0.1198 0.5278 0.2749
Co2 0.2940 0.2940 0.5628
Co3 0.5278 0.1198 0.2749
Sn1 0.3324 0.3324 0.9902
Sn2 0.4086 0.7551 0.8218
Sn3 0.4477 0.8710 0.4434
Sn4 0.7551 0.4086 0.8218
Sn5 0.8710 0.4477 0.4434
Sn6 0.9445 0.9445 0.4304

Main lines, in order of rising 2θ (15° ≤ 2θ ≤ 90°):
2theta  I/Imax
31.36  39
31.90  80
32.16  73
33.44  100
34.29  55
38.57  56
43.00  47
43.39  43